Entry 1:
Starting from a crystal structure in the Materials Project, relaxed with GGA-PBE, the X-ray diffraction stick pattern of VPt3 was calculated for a wavelength of 1.5418 Å.
Peak positions follow from Bragg's law for the DFT cell and can differ from measured ones.

Top 12 peaks for 2θ = 5–70°, by angle:
(0 0 2), 22.4°, 3.969 Å, I 5
(1 0 1), 25.5°, 3.495 Å, I 16
(1 1 0), 32.5°, 2.752 Å, I 4
(1 1 2), 39.9°, 2.262 Å, I 100
(1 0 3), 41.3°, 2.188 Å, I 5
(0 0 4), 45.7°, 1.985 Å, I 17
(2 0 0), 46.7°, 1.946 Å, I 32
(2 0 2), 52.4°, 1.747 Å, I 2
(2 1 1), 53.9°, 1.700 Å, I 5
(2 1 3), 64.0°, 1.454 Å, I 3
(2 0 4), 67.4°, 1.390 Å, I 21
(2 2 0), 68.1°, 1.376 Å, I 10

Atomic structure:
```
data_VPt3
_symmetry_space_group_name_H-M 'I 4/m m m'
_symmetry_Int_Tables_number 139
_symmetry_space_group_name_Hall '-I 4 2'
_cell_length_a 3.893
_cell_length_b 3.893
_cell_length_c 7.938
_cell_angle_alpha 90.00
_cell_angle_beta 90.00
_cell_angle_gamma 90.00
loop_
_atom_site_label
_atom_site_type_symbol
_atom_site_fract_x
_atom_site_fract_y
_atom_site_fract_z
V1 V 0.000 0.000 0.000
Pt1 Pt 0.000 0.000 0.500
Pt2 Pt 0.000 0.500 0.250
```

---

Entry 2:
Starting from a crystal structure in the Materials Project, relaxed with GGA-PBE, the X-ray diffraction stick pattern of Rb4MgH12Se8O24 was calculated for a wavelength of 1.5418 Å.
Peak positions follow from Bragg's law for the DFT cell and can differ from measured ones.

Top 12 peaks for 2θ = 5–70°, by angle:
(0 0 2), 8.0°, 11.008 Å, I 93
(0 0 4), 16.1°, 5.499 Å, I 24
(-1 1 2), 21.5°, 4.134 Å, I 25
(1 1 2), 21.7°, 4.100 Å, I 26
(0 0 6), 24.3°, 3.669 Å, I 23
(-1 1 4), 25.6°, 3.475 Å, I 100
(1 -1 4), 25.9°, 3.442 Å, I 47
(1 1 4), 26.0°, 3.429 Å, I 46
(0 2 0), 28.4°, 3.147 Å, I 27
(2 0 0), 28.5°, 3.130 Å, I 34
(0 0 8), 32.5°, 2.752 Å, I 25
(-3 1 4), 48.6°, 1.873 Å, I 18

Atomic structure:
```
data_Rb4MgH12Se8O24
_symmetry_space_group_name_H-M 'P 1'
_symmetry_Int_Tables_number 1
_symmetry_space_group_name_Hall 'P 1'
_cell_length_a 6.261
_cell_length_b 6.294
_cell_length_c 22.018
_cell_angle_alpha 90.17
_cell_angle_beta 90.95
_cell_angle_gamma 90.18
loop_
_atom_site_label
_atom_site_type_symbol
_atom_site_fract_x
_atom_site_fract_y
_atom_site_fract_z
Rb1 Rb 0.000 0.000 0.000
Rb2 Rb 0.051 0.999 0.241
Rb3 Rb 0.488 0.479 0.739
Rb4 Rb 0.561 0.480 0.503
Mg1 Mg 0.513 0.871 0.118
H1 H 0.079 0.176 0.569
H2 H 0.167 0.515 0.983
H3 H 0.260 0.695 0.382
H4 H 0.294 0.778 0.881
H5 H 0.383 0.957 0.485
H6 H 0.501 0.224 0.171
H7 H 0.529 0.226 0.069
H8 H 0.672 0.958 0.756
H9 H 0.761 0.781 0.360
H10 H 0.793 0.695 0.859
H11 H 0.879 0.512 0.256
H12 H 0.979 0.179 0.673
Se1 Se 0.009 0.406 0.376
Se2 Se 0.011 0.917 0.497
Se3 Se 0.040 0.403 0.864
Se4 Se 0.043 0.918 0.744
Se5 Se 0.507 0.537 0.241
Se6 Se 0.513 0.069 0.366
Se7 Se 0.540 0.537 0.998
Se8 Se 0.541 0.068 0.875
O1 O 0.003 0.420 0.941
O2 O 0.043 0.423 0.300
O3 O 0.085 0.179 0.706
O4 O 0.153 0.746 0.698
O5 O 0.235 0.556 0.406
O6 O 0.258 0.555 0.850
O7 O 0.267 0.579 0.017
O8 O 0.288 0.894 0.519
O9 O 0.300 0.909 0.350
O10 O 0.314 0.921 0.903
O11 O 0.397 0.693 0.186
O12 O 0.465 0.267 0.215
O13 O 0.503 0.051 0.798
O14 O 0.552 0.052 0.443
O15 O 0.575 0.268 0.025
O16 O 0.651 0.695 0.053
O17 O 0.738 0.922 0.337
O18 O 0.752 0.907 0.891
O19 O 0.767 0.896 0.722
O20 O 0.781 0.573 0.221
O21 O 0.797 0.563 0.392
O22 O 0.819 0.557 0.834
O23 O 0.901 0.744 0.543
O24 O 0.973 0.177 0.536
```

---

Entry 3:
Starting from a crystal structure in the Materials Project, relaxed with GGA-PBE, the X-ray diffraction stick pattern of IrC2 was calculated for a wavelength of 1.5418 Å.
Peak positions follow from Bragg's law for the DFT cell and can differ from measured ones.

Top 8 peaks for 2θ = 5–70°, by angle:
(1 1 0), 27.6°, 3.226 Å, I 100
(0 0 2), 34.1°, 2.626 Å, I 26
(2 0 0), 39.5°, 2.281 Å, I 47
(1 1 2), 44.5°, 2.037 Å, I 73
(2 0 2), 53.2°, 1.722 Å, I 38
(2 2 0), 57.1°, 1.613 Å, I 16
(3 1 0), 64.6°, 1.443 Å, I 23
(2 2 2), 68.2°, 1.375 Å, I 19

Atomic structure:
```
data_IrC2
_symmetry_space_group_name_H-M 'I 4/m c m'
_symmetry_Int_Tables_number 140
_symmetry_space_group_name_Hall '-I 4 2c'
_cell_length_a 4.563
_cell_length_b 4.563
_cell_length_c 5.252
_cell_angle_alpha 90.00
_cell_angle_beta 90.00
_cell_angle_gamma 90.00
loop_
_atom_site_label
_atom_site_type_symbol
_atom_site_fract_x
_atom_site_fract_y
_atom_site_fract_z
Ir1 Ir 0.000 0.000 0.250
C1 C 0.113 0.387 0.000
```

---

Entry 4:
Starting from a crystal structure in the Materials Project, relaxed with GGA-PBE, the X-ray diffraction stick pattern of Er2Al3Co was calculated for a wavelength of 1.5418 Å.
Peak positions follow from Bragg's law for the DFT cell and can differ from measured ones.

Top 12 peaks for 2θ = 5–70°, by angle:
(1 0 1), 20.1°, 4.424 Å, I 48
(0 0 3), 20.8°, 4.279 Å, I 37
(1 1 0), 32.9°, 2.721 Å, I 99
(1 0 4), 33.8°, 2.653 Å, I 60
(0 2 1), 38.9°, 2.317 Å, I 29
(1 1 3), 39.2°, 2.296 Å, I 100
(0 1 5), 40.0°, 2.255 Å, I 41
(3 0 0), 58.8°, 1.571 Å, I 19
(2 1 4), 59.3°, 1.557 Å, I 24
(3 0 3), 63.0°, 1.475 Å, I 24
(1 2 5), 63.6°, 1.463 Å, I 21
(2 2 0), 69.0°, 1.360 Å, I 19

Atomic structure:
```
data_Er2Al3Co
_symmetry_space_group_name_H-M 'R -3 m'
_symmetry_Int_Tables_number 166
_symmetry_space_group_name_Hall '-R 3 2"'
_cell_length_a 5.4412
_cell_length_b 5.4412
_cell_length_c 12.8373
_cell_angle_alpha 90.00
_cell_angle_beta 90.00
_cell_angle_gamma 120.00
loop_
_atom_site_label
_atom_site_type_symbol
_atom_site_fract_x
_atom_site_fract_y
_atom_site_fract_z
Er1 Er 0.0000 0.0000 0.1268
Al1 Al 0.0000 0.5000 0.0000
Co1 Co 0.0000 0.0000 0.5000
```